For K2CoSeO4, a crystal structure in Alexandria, relaxed with PBE+U gives the simulated XRD peak list in this record (Cu Kα X-rays).

Structural model:
```
data_K2CoSeO4
_chemical_formula_sum 'K16 Co8 Se8 O32'
_space_group_name_H-M_alt 'F d d d'
_space_group_IT_number 70
_cell_length_a 5.778
_cell_length_b 10.864
_cell_length_c 21.969
_cell_angle_alpha 90.00
_cell_angle_beta 90.00
_cell_angle_gamma 90.00
loop_
_space_group_symop_operation_xyz
'x,y,z'
'-x,-y,-z'
'-x+1/4,-y+1/4,z'
'x+1/4,y+1/4,-z'
'x,-y+1/4,-z+1/4'
'-x,y+1/4,z+1/4'
'-x+1/4,y,-z+1/4'
'x+1/4,-y,z+1/4'
'x,y+1/2,z+1/2'
'-x,-y+1/2,-z+1/2'
'-x+1/4,-y+3/4,z+1/2'
'x+1/4,y+3/4,-z+1/2'
'x,-y+3/4,-z+3/4'
'-x,y+3/4,z+3/4'
'-x+1/4,y+1/2,-z+3/4'
'x+1/4,-y+1/2,z+3/4'
'x+1/2,y,z+1/2'
'-x+1/2,-y,-z+1/2'
'-x+3/4,-y+1/4,z+1/2'
'x+3/4,y+1/4,-z+1/2'
'x+1/2,-y+1/4,-z+3/4'
'-x+1/2,y+1/4,z+3/4'
'-x+3/4,y,-z+3/4'
'x+3/4,-y,z+3/4'
'x+1/2,y+1/2,z'
'-x+1/2,-y+1/2,-z'
'-x+3/4,-y+3/4,z'
'x+3/4,y+3/4,-z'
'x+1/2,-y+3/4,-z+1/4'
'-x+1/2,y+3/4,z+1/4'
'-x+3/4,y+1/2,-z+1/4'
'x+3/4,-y+1/2,z+1/4'
loop_
_atom_site_label
_atom_site_fract_x
_atom_site_fract_y
_atom_site_fract_z
K1 0.125 0.125 0.289
Co1 0.125 0.125 0.125
Se1 0.125 0.125 0.625
O1 0.101 0.372 0.318
```

Principal peaks in the range 10 to 90 degrees two-theta, low angle first:
Position (°2θ), I_rel
16.14, 29
18.22, 100
21.23, 27
29.42, 44
32.98, 38
35.19, 19
39.74, 35
48.72, 16
52.57, 28
62.44, 15